(1)
This entry pairs a crystal structure of RbSrTlI4 with its simulated PXRD pattern. Radiation: copper Kα. Structure: a structure optimized by DFT (PBE).

Top 10 peaks for 15° ≤ 2θ ≤ 90°, most intense first:
- 27.8 deg, rel. 1000
- 21.9 deg, rel. 439
- 40.9 deg, rel. 304
- 19.5 deg, rel. 271
- 39.7 deg, rel. 254
- 28.2 deg, rel. 239
- 29.5 deg, rel. 216
- 49.1 deg, rel. 198
- 40.0 deg, rel. 186
- 50.2 deg, rel. 161

```
7
Lattice="-3.212 3.212 9.093 3.212 -3.212 9.093 3.212 3.212 -9.093" Properties=species:S:1:pos:R:3 pbc="T T T"
Rb 0.000 0.000 0.000
Sr 0.000 0.000 6.699
Tl 0.000 0.000 13.219
I 0.000 0.000 3.524
I 3.212 0.000 6.779
I 0.000 0.000 10.004
I 0.000 3.212 6.779
```



(2)
This entry pairs a crystal structure of RbSrUI6 with its simulated PXRD pattern. Radiation: copper Kα. Structure: a structure optimized by DFT (PBE).

Top 10 peaks for 15° ≤ 2θ ≤ 90°, most intense first:
- 24.0 deg, rel. 1000
- 31.0 deg, rel. 751
- 37.3 deg, rel. 416
- 16.5 deg, rel. 383
- 40.1 deg, rel. 290
- 34.7 deg, rel. 203
- 60.1 deg, rel. 176
- 49.2 deg, rel. 168
- 63.4 deg, rel. 145
- 44.9 deg, rel. 140

```
18
Lattice="8.346 0.000 0.000 -4.173 7.228 0.000 0.000 0.000 16.016" Properties=species:S:1:pos:R:3 pbc="T T T"
Rb 0.000 0.000 0.000
Rb 0.000 0.000 8.008
Sr 0.000 4.819 4.004
Sr 4.173 2.409 12.012
U 0.000 4.819 12.012
U 4.173 2.409 4.004
I -1.448 2.716 10.172
I -2.545 4.616 13.852
I 1.448 2.716 13.852
I -1.097 7.124 10.172
I 3.076 0.104 2.164
I 1.628 2.612 5.844
I 2.545 4.616 10.172
I 1.097 7.124 13.852
I 5.271 0.104 5.844
I 2.725 4.512 2.164
I 6.718 2.612 2.164
I 5.621 4.512 5.844
```